Structure and simulated powder diffractogram of Sm9Y3Er2 (a PBE-relaxed structure; copper Kα).
Kinematic intensities with the Lorentz-polarization factor, no thermal factor.

abc: 5.670 10.922 15.055
angles: 90.00 90.00 90.00
Space group Immm (No. 71)
Symmetry-distinct sites (fractional):
Sm (0.000, 0.000, 0.000) (multiplicity 2)
Sm (0.000, 0.158, 0.225) (multiplicity 8)
Sm (0.000, 0.339, 0.396) (multiplicity 8)
Y (0.000, 0.000, 0.500) (multiplicity 2)
Y (0.000, 0.302, 0.000) (multiplicity 4)
Er (0.000, 0.500, 0.182) (multiplicity 4)

The 10 most intense peaks (2θ = 10–90°), by angle:
(0 3 1), 2θ 25.17, intensity 79
(1 1 4), 2θ 29.64, intensity 258
(0 3 3), 2θ 30.33, intensity 212
(2 0 0), 2θ 31.54, intensity 1000
(1 0 5), 2θ 33.71, intensity 371
(2 3 3), 2θ 44.34, intensity 150
(0 6 0), 2θ 50.11, intensity 81
(3 3 2), 2θ 56.18, intensity 131
(2 6 0), 2θ 60.43, intensity 112
(1 6 5), 2θ 61.77, intensity 121


Structure and simulated powder diffractogram of K10Zn4Sn4S17 (a PBE-relaxed structure; copper Kα).
Kinematic intensities with the Lorentz-polarization factor, no thermal factor.

abc: 14.3813 14.3813 17.2213
angles: 90.00 90.00 120.00
Space group R3m (No. 160, hexagonal axes)
Symmetry-distinct sites (fractional):
K (0.0000, 0.0000, 0.0000) (multiplicity 3)
K (0.0008, 0.5004, 0.8411) (multiplicity 9)
K (0.0242, 0.5121, 0.3562) (multiplicity 9)
K (0.2171, 0.4342, 0.4568) (multiplicity 9)
Zn (0.0000, 0.0000, 0.2059) (multiplicity 3)
Zn (0.0882, 0.1765, 0.3859) (multiplicity 9)
Sn (0.0000, 0.0000, 0.5680) (multiplicity 3)
Sn (0.1851, 0.3703, 0.9317) (multiplicity 9)
S (0.0000, 0.0000, 0.3413) (multiplicity 3)
S (0.0000, 0.0000, 0.7053) (multiplicity 3)
S (0.0044, 0.2735, 0.3437) (multiplicity 18)
S (0.0926, 0.1853, 0.5232) (multiplicity 9)
S (0.0974, 0.1947, 0.8799) (multiplicity 9)
S (0.1750, 0.0875, 0.1544) (multiplicity 9)

The 10 most intense peaks (2θ = 10–90°), by angle:
(0 2 1), 2θ 15.13, intensity 629
(2 0 2), 2θ 17.58, intensity 1000
(2 2 0), 2θ 24.76, intensity 891
(0 2 4), 2θ 25.15, intensity 809
(2 1 4), 2θ 28.09, intensity 449
(2 2 3), 2θ 29.31, intensity 557
(2 3 2), 2θ 33.00, intensity 455
(3 3 0), 2θ 37.55, intensity 508
(0 3 6), 2θ 38.12, intensity 469
(0 4 8), 2θ 51.63, intensity 618


Structure and simulated powder diffractogram of Rb2NaOF6 (a PBE-relaxed structure; copper Kα).
Kinematic intensities with the Lorentz-polarization factor, no thermal factor.

abc: 5.790 5.790 9.489
angles: 90.00 90.00 90.00
Space group I4/mmm (No. 139)
Symmetry-distinct sites (fractional):
Rb (0.000, 0.500, 0.250) (multiplicity 4)
Na (0.000, 0.000, 0.000) (multiplicity 2)
O (0.000, 0.000, 0.500) (multiplicity 2)
F (0.000, 0.000, 0.232) (multiplicity 4)
F (0.214, 0.214, 0.500) (multiplicity 8)

The 10 most intense peaks (2θ = 10–90°), by angle:
(1 1 0), 2θ 21.71, intensity 222
(1 1 2), 2θ 28.80, intensity 1000
(2 0 0), 2θ 30.89, intensity 430
(2 0 2), 2θ 36.36, intensity 959
(0 0 4), 2θ 37.93, intensity 391
(2 2 0), 2θ 44.25, intensity 451
(2 0 4), 2θ 49.69, intensity 212
(3 1 2), 2θ 53.66, intensity 292
(2 2 4), 2θ 59.66, intensity 327
(4 0 0), 2θ 64.32, intensity 202